No. 1
Simulated PXRD pattern of CsZn2In2F7 for copper Kα, from a structure optimized by DFT (GGA-PBE).

Top 6 peaks for 2θ from 10° to 90°, by intensity:
2theta	d (Å)	Rel. int.	hkl
24.33	3.658	100.0	0 1 5
29.20	3.058	68.1	1 1 0
48.93	1.861	29.2	1 2 5
21.89	4.060	25.2	1 0 4
38.37	2.346	22.9	2 0 5
39.49	2.282	20.8	1 0 10

Cell and atoms:
```
data_CsZn2In2F7
_chemical_formula_sum 'Cs3 Zn6 In6 F21'
_symmetry_space_group_name_H-M 'R 3 2'
_symmetry_Int_Tables_number 155
_symmetry_space_group_name_Hall 'R 3 2"'
_cell_length_a 6.1160
_cell_length_b 6.1160
_cell_length_c 25.2856
_cell_angle_alpha 90.00
_cell_angle_beta 90.00
_cell_angle_gamma 120.00
loop_
_atom_site_label
_atom_site_type_symbol
_atom_site_fract_x
_atom_site_fract_y
_atom_site_fract_z
Cs1 Cs 0.0000 0.0000 0.0000
Zn1 Zn 0.0000 0.0000 0.4223
In1 In 0.0000 0.0000 0.2051
F1 F 0.0000 0.0000 0.5000
F2 F 0.0049 0.4228 0.9309
```

---

No. 2
Simulated PXRD pattern of Ce2CuBiS5 for copper Kα, from a structure optimized by DFT (GGA-PBE).

Top 6 peaks for 2θ from 10° to 90°, by intensity:
2theta	d (Å)	Rel. int.	hkl
24.44	3.643	100.0	3 0 2
28.72	3.109	84.4	1 1 3
32.02	2.795	71.5	1 1 4
27.13	3.286	62.3	3 0 3
45.26	2.004	61.8	6 0 1
22.63	3.929	47.2	3 0 1

Cell and atoms:
```
data_Ce2CuBiS5
_chemical_formula_sum 'Ce8 Cu4 Bi4 S20'
_symmetry_space_group_name_H-M 'P n m a'
_symmetry_Int_Tables_number 62
_symmetry_space_group_name_Hall '-P 2ac 2n'
_cell_length_a 12.1193
_cell_length_b 3.9184
_cell_length_c 16.8918
_cell_angle_alpha 90.00
_cell_angle_beta 90.00
_cell_angle_gamma 90.00
loop_
_atom_site_label
_atom_site_type_symbol
_atom_site_fract_x
_atom_site_fract_y
_atom_site_fract_z
Ce1 Ce 0.0458 0.2500 0.1736
Ce2 Ce 0.1234 0.7500 0.5997
Cu1 Cu 0.0853 0.7500 0.9962
Bi1 Bi 0.1990 0.7500 0.3642
S1 S 0.0103 0.2500 0.7028
S2 S 0.0814 0.2500 0.9196
S3 S 0.1022 0.2500 0.4707
S4 S 0.1950 0.7500 0.1064
S5 S 0.2422 0.7500 0.7613
```

---

No. 3
Simulated PXRD pattern of Si2RuSe6 for copper Kα, from a structure optimized by DFT (GGA-PBE).

Top 6 peaks for 2θ from 10° to 90°, by intensity:
2theta	d (Å)	Rel. int.	hkl
34.80	2.578	100.0	3 3 -1
30.21	2.959	95.5	1 3 1
49.40	1.845	78.2	1 3 -3
34.57	2.595	56.1	2 0 2
50.33	1.813	45.2	5 3 1
11.06	7.997	42.6	1 1 0

Cell and atoms:
```
data_Si2RuSe6
_chemical_formula_sum 'Si8 Ru4 Se24'
_symmetry_space_group_name_H-M 'C 1 2/c 1'
_symmetry_Int_Tables_number 15
_symmetry_space_group_name_Hall '-C 2yc'
_cell_length_a 12.1147
_cell_length_b 10.8051
_cell_length_c 6.4437
_cell_angle_alpha 90.00
_cell_angle_beta 101.00
_cell_angle_gamma 90.00
loop_
_atom_site_label
_atom_site_type_symbol
_atom_site_fract_x
_atom_site_fract_y
_atom_site_fract_z
Si1 Si 0.2025 0.0831 0.3414
Ru1 Ru 0.0000 0.3908 0.2500
Se1 Se 0.1016 0.4132 0.6284
Se2 Se 0.1271 0.0894 0.6472
Se3 Se 0.1327 0.2529 0.1331
```

---

No. 4
Simulated PXRD pattern of LaNd3Dy5 for copper Kα, from a structure optimized by DFT (GGA-PBE).

Top 6 peaks for 2θ from 10° to 90°, by intensity:
2theta	d (Å)	Rel. int.	hkl
29.93	2.986	100.0	6 0 0
31.62	2.829	94.2	1 1 3
31.49	2.841	80.8	5 1 -3
28.14	3.171	56.4	1 1 -3
31.06	2.879	46.6	2 2 0
29.38	3.040	31.8	0 2 0

Cell and atoms:
```
data_LaNd3Dy5
_chemical_formula_sum 'La4 Nd12 Dy20'
_symmetry_space_group_name_H-M 'C 1 2/c 1'
_symmetry_Int_Tables_number 15
_symmetry_space_group_name_Hall '-C 2yc'
_cell_length_a 19.5016
_cell_length_b 6.0804
_cell_length_c 11.3952
_cell_angle_alpha 90.00
_cell_angle_beta 113.27
_cell_angle_gamma 90.00
loop_
_atom_site_label
_atom_site_type_symbol
_atom_site_fract_x
_atom_site_fract_y
_atom_site_fract_z
La1 La 0.0000 0.1229 0.2500
Nd1 Nd 0.0000 0.0000 0.0000
Nd2 Nd 0.1795 0.2254 0.3613
Dy1 Dy 0.0000 0.3913 0.7500
Dy2 Dy 0.1611 0.2605 0.6951
Dy3 Dy 0.1707 0.2588 0.0302
```